Diffraction record for Mn2TlOsO8. The XRD peak list is calculated, not measured: it uses a DFT-relaxed cell (PBE+U, Alexandria) and CuKα.
Intensities are scaled so that the largest is 100.

a = 4.7780 Å, b = 6.5439 Å, c = 4.7843 Å
α = 90.00°, β = 93.97°, γ = 90.00°
Space group P2/m (No. 10)
Asymmetric unit:
Mn 0.0000 0.2461 0.0000
Tl 0.5000 0.5000 0.5000
Os 0.5000 0.0000 0.5000
O 0.1787 0.5000 0.1774
O 0.2048 0.0000 0.2036
O 0.3104 0.2023 0.6880

Largest 6 diffraction maxima, in order of rising 2θ, 15 to 90 degrees two-theta:
2θ/deg	I (rel.)	(hkl)
18.6	73	1 0 0
25.5	65	1 0 -1
27.3	70	1 0 1
33.2	100	1 2 0
37.7	53	0 0 2
50.0	42	2 2 -1